# Li2Ti3MnO8
Theoretical PXRD pattern, Cu Kα, 1.54184 Å. Input: DFT lattice parameters and positions (PBE+U).
Peak positions follow from Bragg's law for the DFT cell and can differ from measured ones.

The 10 most intense peaks (2θ = 10–90°), sorted by position:
2θ/deg  I/Imax
17.3  45
18.1  100
34.0  19
34.7  41
35.1  12
42.1  83
55.7  12
60.0  24
62.0  21
77.8  12

Structural model:
a = 10.7923 Å, b = 10.7923 Å, c = 10.7923 Å
α = 32.19°, β = 32.19°, γ = 32.19°
Element x y z (fractional)
Li: 0.1893 0.1893 0.1893
Li: 0.3107 0.3107 0.3107
Li: 0.6893 0.6893 0.6893
Li: 0.8107 0.8107 0.8107
Ti: 0.2104 0.7500 0.2896
Ti: 0.2500 0.7104 0.7896
Ti: 0.2896 0.2104 0.7500
Ti: 0.7104 0.7896 0.2500
Ti: 0.7500 0.2896 0.2104
Ti: 0.7896 0.2500 0.7104
Mn: 0.0000 0.0000 0.0000
Mn: 0.5000 0.5000 0.5000
O: 0.1060 0.6422 0.1090
O: 0.1090 0.1060 0.6422
O: 0.1173 0.1173 0.1173
O: 0.1422 0.6060 0.6090
O: 0.3578 0.8910 0.8940
O: 0.3827 0.3827 0.3827
O: 0.3910 0.8578 0.3940
O: 0.3940 0.3910 0.8578
O: 0.6060 0.6090 0.1422
O: 0.6090 0.1422 0.6060
O: 0.6173 0.6173 0.6173
O: 0.6422 0.1090 0.1060
O: 0.8578 0.3940 0.3910
O: 0.8827 0.8827 0.8827
O: 0.8910 0.8940 0.3578
O: 0.8940 0.3578 0.8910